For K5C, a structure optimized by DFT (PBE) gives the simulated powder diffraction line list in this record (Cu Kα (weighted mean of Kα1 and Kα2)).
Kinematic intensities with the Lorentz-polarization factor, no thermal factor.

Cell and atoms:
```
data_K5C
_chemical_formula_sum 'K5 C1'
_space_group_name_H-M_alt 'P -6 2 m'
_space_group_IT_number 189
_space_group_name_Hall 'P -6 -2'
_cell_length_a 9.9103
_cell_length_b 9.9103
_cell_length_c 4.2473
_cell_angle_alpha 90.00
_cell_angle_beta 90.00
_cell_angle_gamma 120.00
loop_
_atom_site_label
_atom_site_fract_x
_atom_site_fract_y
_atom_site_fract_z
K1 0.0000 0.7878 0.0000
K2 0.3333 0.6667 0.5000
C1 0.0000 0.0000 0.5000
```

Largest 8 diffraction maxima, low angle first, 5 to 70 degrees two-theta:
d (Å)  I/Imax  h k l
8.583  35  1 0 0
4.955  92  1 1 0
3.807  78  1 0 1
3.244  95  2 1 0
3.225  100  1 1 1
2.578  55  2 1 1
2.140  44  2 2 1
1.873  30  4 1 0

For K7C, a structure optimized by DFT (PBE) gives the simulated powder diffraction line list in this record (Cu Kα (weighted mean of Kα1 and Kα2)).
Kinematic intensities with the Lorentz-polarization factor, no thermal factor.

Cell and atoms:
```
data_K7C
_chemical_formula_sum 'K28 C4'
_space_group_name_H-M_alt 'F m -3 m'
_space_group_IT_number 225
_space_group_name_Hall '-F 4 2 3'
_cell_length_a 12.568
_cell_length_b 12.568
_cell_length_c 12.568
_cell_angle_alpha 90.00
_cell_angle_beta 90.00
_cell_angle_gamma 90.00
loop_
_atom_site_label
_atom_site_fract_x
_atom_site_fract_y
_atom_site_fract_z
K1 0.000 0.000 0.000
K2 0.000 0.250 0.250
C1 0.000 0.000 0.500
```

Largest 8 diffraction maxima, low angle first, 5 to 70 degrees two-theta:
d (Å)  I/Imax  h k l
3.628  100  2 2 2
3.142  50  4 0 0
2.222  34  4 4 0
1.895  39  6 2 2
1.814  11  4 4 4
1.571  5  8 0 0
1.442  14  6 6 2
1.405  13  8 4 0

For K4C5, a structure optimized by DFT (PBE) gives the simulated powder diffraction line list in this record (Cu Kα (weighted mean of Kα1 and Kα2)).
Kinematic intensities with the Lorentz-polarization factor, no thermal factor.

Cell and atoms:
```
data_K4C5
_chemical_formula_sum 'K8 C10'
_space_group_name_H-M_alt 'I 4/m m m'
_space_group_IT_number 139
_space_group_name_Hall '-I 4 2'
_cell_length_a 12.051
_cell_length_b 12.051
_cell_length_c 3.511
_cell_angle_alpha 90.00
_cell_angle_beta 90.00
_cell_angle_gamma 90.00
loop_
_atom_site_label
_atom_site_fract_x
_atom_site_fract_y
_atom_site_fract_z
K1 0.000 0.239 0.000
C1 0.000 0.000 0.000
C2 0.063 0.063 0.500
```

Largest 8 diffraction maxima, low angle first, 5 to 70 degrees two-theta:
d (Å)  I/Imax  h k l
8.521  100  1 1 0
6.025  24  2 0 0
4.261  69  2 2 0
3.013  50  4 0 0
2.942  55  2 1 1
2.421  33  3 2 1
2.246  25  4 1 1
1.987  26  5 0 1

For KC, a structure optimized by DFT (PBE) gives the simulated powder diffraction line list in this record (Cu Kα (weighted mean of Kα1 and Kα2)).
Kinematic intensities with the Lorentz-polarization factor, no thermal factor.

Cell and atoms:
```
data_KC
_chemical_formula_sum 'K2 C2'
_space_group_name_H-M_alt 'P -1'
_space_group_IT_number 2
_space_group_name_Hall '-P 1'
_cell_length_a 4.998
_cell_length_b 5.017
_cell_length_c 5.671
_cell_angle_alpha 65.14
_cell_angle_beta 64.86
_cell_angle_gamma 60.71
loop_
_atom_site_label
_atom_site_fract_x
_atom_site_fract_y
_atom_site_fract_z
K1 0.248 0.248 0.257
C1 0.045 0.049 0.872
```

Largest 8 diffraction maxima, low angle first, 5 to 70 degrees two-theta:
d (Å)  I/Imax  h k l
3.767  52  1 1 0
3.746  100  1 0 1
2.850  52  0 1 -1
2.832  52  1 0 -1
2.785  51  1 1 2
2.530  46  1 -1 0
2.507  45  1 2 1
2.498  44  2 1 1

For K4C, a structure optimized by DFT (PBE) gives the simulated powder diffraction line list in this record (Cu Kα (weighted mean of Kα1 and Kα2)).
Kinematic intensities with the Lorentz-polarization factor, no thermal factor.

Cell and atoms:
```
data_K4C
_chemical_formula_sum 'K8 C2'
_space_group_name_H-M_alt 'I 4/m'
_space_group_IT_number 87
_space_group_name_Hall '-I 4'
_cell_length_a 10.898
_cell_length_b 10.898
_cell_length_c 3.991
_cell_angle_alpha 90.00
_cell_angle_beta 90.00
_cell_angle_gamma 90.00
loop_
_atom_site_label
_atom_site_fract_x
_atom_site_fract_y
_atom_site_fract_z
K1 0.032 0.222 0.000
C1 0.000 0.000 0.500
```

Largest 8 diffraction maxima, low angle first, 5 to 70 degrees two-theta:
d (Å)  I/Imax  h k l
7.706  52  1 1 0
3.853  100  2 2 0
3.748  76  1 0 1
3.446  35  3 1 0
3.088  80  2 1 1
2.724  38  4 0 0
2.410  88  3 2 1
2.204  39  1 4 1

For KC4, a structure optimized by DFT (PBE) gives the simulated powder diffraction line list in this record (Cu Kα (weighted mean of Kα1 and Kα2)).
Kinematic intensities with the Lorentz-polarization factor, no thermal factor.

Cell and atoms:
```
data_KC4
_chemical_formula_sum 'K2 C8'
_space_group_name_H-M_alt 'C 1 2/m 1'
_space_group_IT_number 12
_space_group_name_Hall '-C 2y'
_cell_length_a 11.146
_cell_length_b 2.562
_cell_length_c 4.337
_cell_angle_alpha 90.00
_cell_angle_beta 112.81
_cell_angle_gamma 90.00
loop_
_atom_site_label
_atom_site_fract_x
_atom_site_fract_y
_atom_site_fract_z
K1 0.000 0.000 0.000
C1 0.249 0.000 0.581
C2 0.249 0.000 0.917
```

Largest 8 diffraction maxima, low angle first, 5 to 70 degrees two-theta:
d (Å)  I/Imax  h k l
3.996  100  0 0 1
2.688  34  2 0 1
2.569  61  4 0 0
2.486  27  1 1 0
2.052  13  3 1 0
2.027  58  1 1 1
1.998  28  0 0 2
1.353  12  5 1 1

For KLaCO4, a structure optimized by DFT (PBE) gives the simulated powder diffraction line list in this record (Cu Kα (weighted mean of Kα1 and Kα2)).
Kinematic intensities with the Lorentz-polarization factor, no thermal factor.

Cell and atoms:
```
data_KLaCO4
_chemical_formula_sum 'K2 La2 C2 O8'
_space_group_name_H-M_alt 'P m m n'
_space_group_IT_number 59
_cell_length_a 3.680
_cell_length_b 4.771
_cell_length_c 12.149
_cell_angle_alpha 90.00
_cell_angle_beta 90.00
_cell_angle_gamma 90.00
loop_
_space_group_symop_operation_xyz
'x,y,z'
'-x,-y,-z'
'-x+1/2,-y+1/2,z'
'x+1/2,y+1/2,-z'
'x+1/2,-y,-z'
'-x+1/2,y,z'
'-x,y+1/2,-z'
'x,-y+1/2,z'
loop_
_atom_site_label
_atom_site_fract_x
_atom_site_fract_y
_atom_site_fract_z
K1 0.250 0.250 0.107
La1 0.250 0.250 0.404
C1 0.250 0.250 0.782
O1 0.250 0.013 0.729
O2 0.250 0.250 0.889
O3 0.250 0.750 0.482
```

Largest 8 diffraction maxima, low angle first, 5 to 70 degrees two-theta:
d (Å)  I/Imax  h k l
12.149  100  0 0 1
4.441  18  0 1 1
3.752  23  0 1 2
3.147  14  1 0 2
3.088  33  0 1 3
2.914  40  1 1 0
2.723  36  1 0 3
2.103  21  1 1 4

For K2LaC2O6, a structure optimized by DFT (PBE) gives the simulated powder diffraction line list in this record (Cu Kα (weighted mean of Kα1 and Kα2)).
Kinematic intensities with the Lorentz-polarization factor, no thermal factor.

Cell and atoms:
```
data_K2LaC2O6
_chemical_formula_sum 'K2 La1 C2 O6'
_space_group_name_H-M_alt 'P -3'
_space_group_IT_number 147
_space_group_name_Hall '-P 3'
_cell_length_a 5.8661
_cell_length_b 5.8661
_cell_length_c 6.3014
_cell_angle_alpha 90.00
_cell_angle_beta 90.00
_cell_angle_gamma 120.00
loop_
_atom_site_label
_atom_site_fract_x
_atom_site_fract_y
_atom_site_fract_z
K1 0.3333 0.6667 0.3331
La1 0.0000 0.0000 0.0000
C1 0.3333 0.6667 0.8159
O1 0.1968 0.4090 0.8025
```

Largest 8 diffraction maxima, low angle first, 5 to 70 degrees two-theta:
d (Å)  I/Imax  h k l
6.301  44  0 0 1
5.080  20  1 0 0
3.955  100  1 0 1
2.933  52  1 1 0
2.678  65  1 0 2
2.356  34  2 0 1
1.977  25  0 2 2
1.837  32  1 2 1